[1]
In2GeRu: computed powder XRD pattern (a wavelength of 1.5418 Å), based on a PBE-relaxed structure.

Cell and atoms:
```
data_In2GeRu
_cell_length_a 10.1770
_cell_length_b 10.1770
_cell_length_c 4.7061
_cell_angle_alpha 90.00
_cell_angle_beta 90.00
_cell_angle_gamma 90.00
_space_group_name_H-M_alt 'I 41/a m d'
_space_group_IT_number 141
loop_
_space_group_symop_operation_xyz
'x,y,z'
'-x,-y,-z'
'-y+1/4,x+3/4,z+1/4'
'y+1/4,-x+3/4,-z+1/4'
'-x+1/2,-y,z+1/2'
'x+1/2,y,-z+1/2'
'y+1/4,-x+1/4,z+3/4'
'-y+1/4,x+1/4,-z+3/4'
'x,-y,-z'
'-x,y,z'
'-y+1/4,-x+1/4,-z+3/4'
'y+1/4,x+1/4,z+3/4'
'-x+1/2,y,-z+1/2'
'x+1/2,-y,z+1/2'
'y+1/4,x+3/4,-z+1/4'
'-y+1/4,-x+3/4,z+1/4'
'x+1/2,y+1/2,z+1/2'
'-x+1/2,-y+1/2,-z+1/2'
'-y+3/4,x+1/4,z+3/4'
'y+3/4,-x+1/4,-z+3/4'
'-x,-y+1/2,z'
'x,y+1/2,-z'
'y+3/4,-x+3/4,z+1/4'
'-y+3/4,x+3/4,-z+1/4'
'x+1/2,-y+1/2,-z+1/2'
'-x+1/2,y+1/2,z+1/2'
'-y+3/4,-x+3/4,-z+1/4'
'y+3/4,x+3/4,z+1/4'
'-x,y+1/2,-z'
'x,-y+1/2,z'
'y+3/4,x+1/4,-z+3/4'
'-y+3/4,-x+1/4,z+3/4'
loop_
_atom_site_label
_atom_site_type_symbol
_atom_site_fract_x
_atom_site_fract_y
_atom_site_fract_z
In1 In 0.0000 0.0000 0.0000
Ge1 Ge 0.0000 0.2500 0.3750
Ru1 Ru 0.0000 0.2500 0.8750
```

Largest 10 diffraction maxima, in order of rising 2θ, 10° ≤ 2θ ≤ 80°:
(hkl), d (Å), I (rel.)
2 0 0, 5.088, 100.0
1 0 1, 4.271, 76.5
2 1 1, 3.272, 39.3
3 0 1, 2.752, 24.6
4 0 0, 2.544, 90.1
4 1 1, 2.186, 25.2
2 0 2, 2.136, 34.5
3 1 2, 1.899, 28.0
4 4 0, 1.799, 31.2
4 2 2, 1.636, 29.0

---

[2]
Mn2ReRh2: computed powder XRD pattern (a wavelength of 1.5418 Å), based on a PBE-relaxed structure.

Cell and atoms:
```
data_Mn2ReRh2
_cell_length_a 7.0886
_cell_length_b 7.0886
_cell_length_c 2.6472
_cell_angle_alpha 90.00
_cell_angle_beta 90.00
_cell_angle_gamma 90.00
_space_group_name_H-M_alt 'P 4/m b m'
_space_group_IT_number 127
_space_group_name_Hall '-P 4 2ab'
loop_
_atom_site_label
_atom_site_type_symbol
_atom_site_fract_x
_atom_site_fract_y
_atom_site_fract_z
Mn1 Mn 0.1717 0.3283 0.0000
Re1 Re 0.0000 0.0000 0.5000
Rh1 Rh 0.1271 0.6271 0.5000
```

Largest 10 diffraction maxima, in order of rising 2θ, 10° ≤ 2θ ≤ 80°:
(hkl), d (Å), I (rel.)
2 0 0, 3.544, 18.7
0 0 1, 2.647, 27.0
2 2 0, 2.506, 27.7
3 1 0, 2.242, 100.0
2 0 1, 2.121, 41.1
2 1 1, 2.032, 67.3
3 2 0, 1.966, 13.0
3 1 1, 1.711, 43.0
4 2 0, 1.585, 13.0
5 1 1, 1.231, 23.9

---

[3]
Hf4NpAs5: computed powder XRD pattern (a wavelength of 1.5418 Å), based on a PBE-relaxed structure.

Cell and atoms:
```
data_Hf4NpAs5
_cell_length_a 3.8617
_cell_length_b 5.4878
_cell_length_c 19.4963
_cell_angle_alpha 90.00
_cell_angle_beta 90.00
_cell_angle_gamma 90.00
_space_group_name_H-M_alt 'I m m m'
_space_group_IT_number 71
_space_group_name_Hall '-I 2 2'
loop_
_atom_site_label
_atom_site_type_symbol
_atom_site_fract_x
_atom_site_fract_y
_atom_site_fract_z
Hf1 Hf 0.0000 0.0000 0.1011
Hf2 Hf 0.0000 0.0000 0.2978
Np1 Np 0.0000 0.0000 0.5000
As1 As 0.0000 0.5000 0.1060
As2 As 0.0000 0.5000 0.3006
As3 As 0.0000 0.5000 0.5000
```

Largest 10 diffraction maxima, in order of rising 2θ, 10° ≤ 2θ ≤ 80°:
(hkl), d (Å), I (rel.)
0 1 5, 3.179, 16.7
1 1 0, 3.158, 16.3
0 2 0, 2.744, 100.0
0 0 10, 1.950, 12.2
1 2 5, 1.940, 49.0
2 0 0, 1.931, 12.2
0 2 10, 1.589, 12.7
2 2 0, 1.579, 12.8
0 4 0, 1.372, 11.8
1 4 5, 1.227, 22.0

---

[4]
SiTcRuC: computed powder XRD pattern (a wavelength of 1.5418 Å), based on a PBE-relaxed structure.

Cell and atoms:
```
data_SiTcRuC
_cell_length_a 2.8254
_cell_length_b 2.8254
_cell_length_c 12.1353
_cell_angle_alpha 90.00
_cell_angle_beta 90.00
_cell_angle_gamma 90.00
_space_group_name_H-M_alt 'I 4 m m'
_space_group_IT_number 107
_space_group_name_Hall 'I 4 -2'
loop_
_atom_site_label
_atom_site_type_symbol
_atom_site_fract_x
_atom_site_fract_y
_atom_site_fract_z
Si1 Si 0.0000 0.0000 0.0000
Tc1 Tc 0.0000 0.0000 0.7205
Ru1 Ru 0.0000 0.0000 0.3871
C1 C 0.0000 0.0000 0.1547
```

Largest 10 diffraction maxima, in order of rising 2θ, 10° ≤ 2θ ≤ 80°:
(hkl), d (Å), I (rel.)
0 0 2, 6.068, 34.6
0 0 4, 3.034, 13.1
1 0 1, 2.752, 15.3
1 0 3, 2.316, 100.0
0 0 6, 2.023, 12.4
1 1 0, 1.998, 39.8
1 0 5, 1.841, 14.8
1 1 6, 1.421, 15.5
2 0 0, 1.413, 12.4
2 1 3, 1.206, 23.9

---

[5]
ThTaRh: computed powder XRD pattern (a wavelength of 1.5418 Å), based on a PBE-relaxed structure.

Cell and atoms:
```
data_ThTaRh
_cell_length_a 3.3020
_cell_length_b 3.3020
_cell_length_c 11.6790
_cell_angle_alpha 90.00
_cell_angle_beta 90.00
_cell_angle_gamma 90.00
_space_group_name_H-M_alt 'P 4/m m m'
_space_group_IT_number 123
_space_group_name_Hall '-P 4 2'
loop_
_atom_site_label
_atom_site_type_symbol
_atom_site_fract_x
_atom_site_fract_y
_atom_site_fract_z
Th1 Th 0.0000 0.0000 0.1714
Ta1 Ta 0.5000 0.5000 0.3723
Rh1 Rh 0.0000 0.0000 0.5000
Rh2 Rh 0.5000 0.5000 0.0000
```

Largest 10 diffraction maxima, in order of rising 2θ, 10° ≤ 2θ ≤ 80°:
(hkl), d (Å), I (rel.)
1 0 1, 3.177, 13.2
1 0 2, 2.874, 9.1
1 0 3, 2.518, 100.0
1 1 0, 2.335, 55.2
0 0 6, 1.946, 6.6
2 0 0, 1.651, 25.7
1 1 6, 1.495, 11.3
2 1 3, 1.381, 31.2
1 0 8, 1.335, 7.3
2 0 6, 1.259, 6.4

---

[6]
Ce4SiTe2Se: computed powder XRD pattern (a wavelength of 1.5418 Å), based on a PBE-relaxed structure.

Cell and atoms:
```
data_Ce4SiTe2Se
_cell_length_a 7.4570
_cell_length_b 4.3159
_cell_length_c 7.6600
_cell_angle_alpha 90.00
_cell_angle_beta 109.02
_cell_angle_gamma 90.00
_space_group_name_H-M_alt 'P 1 2/m 1'
_space_group_IT_number 10
loop_
_space_group_symop_operation_xyz
'x,y,z'
'-x,-y,-z'
'-x,y,-z'
'x,-y,z'
loop_
_atom_site_label
_atom_site_type_symbol
_atom_site_fract_x
_atom_site_fract_y
_atom_site_fract_z
Ce1 Ce 0.2366 0.0000 0.2234
Ce2 Ce 0.2531 0.5000 0.7748
Si1 Si 0.0000 0.5000 0.0000
Te1 Te 0.0000 0.0000 0.5000
Te2 Te 0.5000 0.5000 0.5000
Se1 Se 0.5000 0.0000 0.0000
```

Largest 10 diffraction maxima, in order of rising 2θ, 10° ≤ 2θ ≤ 80°:
(hkl), d (Å), I (rel.)
1 1 -1, 3.530, 6.7
1 1 1, 3.076, 100.0
1 1 -2, 2.832, 8.1
2 0 2, 2.196, 35.5
0 2 0, 2.155, 37.6
2 2 -2, 1.767, 13.2
2 2 2, 1.538, 11.4
0 2 4, 1.387, 9.3
4 2 0, 1.365, 11.0
1 3 -3, 1.253, 7.7

---

Please write out number 2 again, unchanged.
Mn2ReRh2: computed powder XRD pattern (a wavelength of 1.5418 Å), based on a PBE-relaxed structure.

Cell and atoms:
```
data_Mn2ReRh2
_cell_length_a 7.0886
_cell_length_b 7.0886
_cell_length_c 2.6472
_cell_angle_alpha 90.00
_cell_angle_beta 90.00
_cell_angle_gamma 90.00
_space_group_name_H-M_alt 'P 4/m b m'
_space_group_IT_number 127
_space_group_name_Hall '-P 4 2ab'
loop_
_atom_site_label
_atom_site_type_symbol
_atom_site_fract_x
_atom_site_fract_y
_atom_site_fract_z
Mn1 Mn 0.1717 0.3283 0.0000
Re1 Re 0.0000 0.0000 0.5000
Rh1 Rh 0.1271 0.6271 0.5000
```

Largest 10 diffraction maxima, in order of rising 2θ, 10° ≤ 2θ ≤ 80°:
(hkl), d (Å), I (rel.)
2 0 0, 3.544, 18.7
0 0 1, 2.647, 27.0
2 2 0, 2.506, 27.7
3 1 0, 2.242, 100.0
2 0 1, 2.121, 41.1
2 1 1, 2.032, 67.3
3 2 0, 1.966, 13.0
3 1 1, 1.711, 43.0
4 2 0, 1.585, 13.0
5 1 1, 1.231, 23.9